# 1
The following is a simulated powder diffraction line list of DyHo5Zn4. It was derived from a cell relaxed with PBE, using Cu Kα X-rays.
No peak broadening, texture or thermal motion is included.

Structure:
```
data_DyHo5Zn4
_chemical_formula_sum 'Dy1 Ho5 Zn4'
_space_group_name_H-M_alt 'P 4/m m m'
_space_group_IT_number 123
_space_group_name_Hall '-P 4 2'
_cell_length_a 3.5482
_cell_length_b 3.5482
_cell_length_c 19.2644
_cell_angle_alpha 90.00
_cell_angle_beta 90.00
_cell_angle_gamma 90.00
loop_
_atom_site_label
_atom_site_type_symbol
_atom_site_fract_x
_atom_site_fract_y
_atom_site_fract_z
Dy1 Dy 0.0000 0.0000 0.0000
Ho1 Ho 0.5000 0.5000 0.1317
Ho2 Ho 0.5000 0.5000 0.3161
Ho3 Ho 0.5000 0.5000 0.5000
Zn1 Zn 0.0000 0.0000 0.2239
Zn2 Zn 0.0000 0.0000 0.4068
```

Main lines, in order of rising 2θ (2θ from 10° to 90°):
25.10°, intensity 14
31.31°, intensity 16
34.36°, intensity 100
35.79°, intensity 67
37.79°, intensity 22
51.51°, intensity 24
58.80°, intensity 9
63.39°, intensity 34
64.94°, intensity 12
86.80°, intensity 11


# 2
The following is a simulated powder diffraction line list of Na2SnRuO6. It was derived from a cell relaxed with PBE, using Cu Kα X-rays.
No peak broadening, texture or thermal motion is included.

Structure:
```
data_Na2SnRuO6
_chemical_formula_sum 'Na2 Sn1 Ru1 O6'
_space_group_name_H-M_alt 'P 4 m m'
_space_group_IT_number 99
_space_group_name_Hall 'P 4 -2'
_cell_length_a 5.6255
_cell_length_b 5.6255
_cell_length_c 3.9951
_cell_angle_alpha 90.00
_cell_angle_beta 90.00
_cell_angle_gamma 90.00
loop_
_atom_site_label
_atom_site_type_symbol
_atom_site_fract_x
_atom_site_fract_y
_atom_site_fract_z
Na1 Na 0.0000 0.5000 0.0000
Sn1 Sn 0.0000 0.0000 0.5342
Ru1 Ru 0.5000 0.5000 0.5130
O1 O 0.0000 0.0000 0.0371
O2 O 0.2606 0.2606 0.5537
O3 O 0.5000 0.5000 0.0540
```

Main lines, in order of rising 2θ (2θ from 10° to 90°):
22.32°, intensity 95
31.77°, intensity 100
45.40°, intensity 14
45.61°, intensity 28
51.17°, intensity 13
51.34°, intensity 25
56.50°, intensity 13
56.64°, intensity 26
66.32°, intensity 16
75.57°, intensity 12


# 3
The following is a simulated powder diffraction line list of Li16Zn6Ag7. It was derived from a cell relaxed with PBE, using Cu Kα X-rays.
No peak broadening, texture or thermal motion is included.

Structure:
```
data_Li16Zn6Ag7
_chemical_formula_sum 'Li64 Zn24 Ag28'
_space_group_name_H-M_alt 'F m -3 m'
_space_group_IT_number 225
_space_group_name_Hall '-F 4 2 3'
_cell_length_a 12.5142
_cell_length_b 12.5142
_cell_length_c 12.5142
_cell_angle_alpha 90.00
_cell_angle_beta 90.00
_cell_angle_gamma 90.00
loop_
_atom_site_label
_atom_site_type_symbol
_atom_site_fract_x
_atom_site_fract_y
_atom_site_fract_z
Li1 Li 0.1198 0.1198 0.1198
Li2 Li 0.1516 0.1516 0.3484
Zn1 Zn 0.0000 0.0000 0.3256
Ag1 Ag 0.0000 0.0000 0.0000
Ag2 Ag 0.0000 0.2500 0.2500
```

Main lines, in order of rising 2θ (2θ from 10° to 90°):
24.64°, intensity 61
28.53°, intensity 100
31.15°, intensity 36
35.13°, intensity 27
37.34°, intensity 26
40.79°, intensity 67
48.24°, intensity 57
64.97°, intensity 36
66.87°, intensity 18
79.61°, intensity 19